This entry pairs a crystal structure of HoMn12 with its theoretical X-ray diffraction stick pattern. Radiation: Cu Kα (weighted mean of Kα1 and Kα2). Structure: a DFT-relaxed cell (GGA-PBE, the Materials Project).

Main lines, low angle first (15° ≤ 2θ ≤ 90°):
2θ (°)	I (rel.)
30.8	49
37.9	45
38.3	18
43.8	58
44.0	100
44.4	75
49.8	19
73.2	20
80.6	17
80.9	16

Crystal structure
a b c (Å): 6.2989 6.2989 6.2989
angles (deg): 97.98 97.98 136.24
Element x y z (fractional)
Ho1 0.0000 0.0000 0.0000
Mn1 0.0000 0.0000 0.5000
Mn2 0.0000 0.3650 0.3650
Mn3 0.0000 0.5000 0.0000
Mn4 0.0000 0.6350 0.6350
Mn5 0.2710 0.5000 0.7710
Mn6 0.3650 0.0000 0.3650
Mn7 0.5000 0.0000 0.0000
Mn8 0.5000 0.2710 0.7710
Mn9 0.5000 0.5000 0.5000
Mn10 0.5000 0.7290 0.2290
Mn11 0.6350 0.0000 0.6350
Mn12 0.7290 0.5000 0.2290

This entry pairs a crystal structure of BaH2Br2O7 with its theoretical X-ray diffraction stick pattern. Radiation: Cu Kα (weighted mean of Kα1 and Kα2). Structure: a DFT-relaxed cell (GGA-PBE, the Materials Project).

Main lines, low angle first (15° ≤ 2θ ≤ 90°):
2θ (°)	I (rel.)
21.3	44
23.6	71
24.2	43
25.0	46
26.1	64
27.2	91
28.1	68
28.9	87
29.5	100
39.3	62

Crystal structure
a b c (Å): 7.7855 7.7855 9.1836
angles (deg): 124.45 124.45 64.74
Element x y z (fractional)
Ba1 0.1439 0.8561 0.7500
Ba2 0.8561 0.1439 0.2500
H1 0.2056 0.7088 0.1348
H2 0.2912 0.7944 0.3652
H3 0.7088 0.2056 0.6348
H4 0.7944 0.2912 0.8652
Br1 0.2862 0.3299 0.3067
Br2 0.3299 0.2862 0.8067
Br3 0.6701 0.7138 0.1933
Br4 0.7138 0.6701 0.6933
O1 0.1140 0.1723 0.6251
O2 0.1723 0.1140 0.1251
O3 0.1804 0.8196 0.2500
O4 0.2155 0.4027 0.4799
O5 0.2416 0.5492 0.8975
O6 0.4027 0.2155 0.9799
O7 0.4508 0.7584 0.6025
O8 0.5492 0.2416 0.3975
O9 0.5973 0.7845 0.0201
O10 0.7584 0.4508 0.1025
O11 0.7845 0.5973 0.5201
O12 0.8196 0.1804 0.7500
O13 0.8277 0.8860 0.8749
O14 0.8860 0.8277 0.3749

This entry pairs a crystal structure of LaCo5H3 with its theoretical X-ray diffraction stick pattern. Radiation: Cu Kα (weighted mean of Kα1 and Kα2). Structure: a DFT-relaxed cell (GGA-PBE, the Materials Project).

Main lines, low angle first (15° ≤ 2θ ≤ 90°):
2θ (°)	I (rel.)
29.4	24
30.0	90
34.1	27
39.2	51
40.7	31
41.0	100
41.1	75
42.2	77
44.9	64
61.0	26

Crystal structure
a b c (Å): 5.0446 4.0403 5.2335
angles (deg): 90.00 118.46 90.00
Element x y z (fractional)
La1 0.0000 0.0000 0.0000
Co1 0.0000 0.5000 0.5000
Co2 0.3388 0.0000 0.6218
Co3 0.5000 0.5000 0.0000
Co4 0.5000 0.5000 0.5000
Co5 0.6612 0.0000 0.3782
H1 0.1390 0.5000 0.8522
H2 0.5000 0.0000 0.0000
H3 0.8610 0.5000 0.1478

This entry pairs a crystal structure of KZnH2Cl3 with its theoretical X-ray diffraction stick pattern. Radiation: Cu Kα (weighted mean of Kα1 and Kα2). Structure: a DFT-relaxed cell (GGA-PBE, the Materials Project).

Main lines, low angle first (15° ≤ 2θ ≤ 90°):
2θ (°)	I (rel.)
16.1	95
17.7	51
18.9	50
20.5	66
21.7	49
29.0	100
29.8	62
33.3	65
35.9	72
44.1	40

Crystal structure
a b c (Å): 6.3217 11.2303 11.3478
angles (deg): 90.00 103.54 90.00
Element x y z (fractional)
K1 0.1318 0.1369 0.3650
K2 0.1318 0.3631 0.8650
K3 0.8682 0.6369 0.1350
K4 0.8682 0.8631 0.6350
Zn1 0.4740 0.1229 0.6963
Zn2 0.4740 0.3771 0.1963
Zn3 0.5260 0.6229 0.8037
Zn4 0.5260 0.8771 0.3037
H1 0.2192 0.6158 0.4299
H2 0.2192 0.8842 0.9299
H3 0.4195 0.1115 0.8357
H4 0.4195 0.3885 0.3357
H5 0.5805 0.6115 0.6643
H6 0.5805 0.8885 0.1643
H7 0.7808 0.1158 0.0701
H8 0.7808 0.3842 0.5701
Cl1 0.1661 0.6234 0.7399
Cl2 0.1661 0.8766 0.2399
Cl3 0.2867 0.2150 0.1202
Cl4 0.2867 0.2850 0.6202
Cl5 0.3295 0.5469 0.1046
Cl6 0.3295 0.9531 0.6046
Cl7 0.6705 0.0469 0.3954
Cl8 0.6705 0.4531 0.8954
Cl9 0.7133 0.7150 0.3798
Cl10 0.7133 0.7850 0.8798
Cl11 0.8339 0.1234 0.7601
Cl12 0.8339 0.3766 0.2601

This entry pairs a crystal structure of Ce3Ru with its theoretical X-ray diffraction stick pattern. Radiation: Cu Kα (weighted mean of Kα1 and Kα2). Structure: a DFT-relaxed cell (GGA-PBE, the Materials Project).

Main lines, low angle first (15° ≤ 2θ ≤ 90°):
2θ (°)	I (rel.)
30.9	48
31.2	85
31.6	44
32.0	40
33.4	91
33.8	80
34.9	100
37.1	49
37.8	41
41.6	42

Crystal structure
a b c (Å): 6.9675 9.7613 6.0989
angles (deg): 90.00 90.00 90.00
Element x y z (fractional)
Ce1 0.0417 0.2500 0.1526
Ce2 0.1654 0.0587 0.6562
Ce3 0.1654 0.4413 0.6562
Ce4 0.3346 0.5587 0.1562
Ce5 0.3346 0.9413 0.1562
Ce6 0.4583 0.7500 0.6526
Ce7 0.5417 0.2500 0.3474
Ce8 0.6654 0.0587 0.8438
Ce9 0.6654 0.4413 0.8438
Ce10 0.8346 0.5587 0.3438
Ce11 0.8346 0.9413 0.3438
Ce12 0.9583 0.7500 0.8474
Ru1 0.1374 0.7500 0.4334
Ru2 0.3626 0.2500 0.9334
Ru3 0.6374 0.7500 0.0666
Ru4 0.8626 0.2500 0.5666

This entry pairs a crystal structure of Mg6NbAl with its theoretical X-ray diffraction stick pattern. Radiation: Cu Kα (weighted mean of Kα1 and Kα2). Structure: a DFT-relaxed cell (GGA-PBE, the Materials Project).

Main lines, low angle first (15° ≤ 2θ ≤ 90°):
2θ (°)	I (rel.)
16.4	65
24.6	36
33.0	34
37.0	37
38.0	100
38.1	56
50.4	29
59.1	19
67.3	27
71.8	18

Crystal structure
a b c (Å): 4.8609 6.2525 6.2525
angles (deg): 60.23 90.00 90.00
Element x y z (fractional)
Mg1 0.0000 0.0000 0.0000
Mg2 0.0000 0.0102 0.4951
Mg3 0.0000 0.4951 0.0102
Mg4 0.5000 0.3384 0.8307
Mg5 0.5000 0.8307 0.3384
Mg6 0.5000 0.8327 0.8327
Nb1 0.5000 0.3414 0.3414
Al1 0.0000 0.4847 0.4847